# Re5C3
Calculated powder XRD pattern, a wavelength of 1.5418 Å. Input: a structure optimized by DFT (PBE).

Structural model:
a = 6.2068 Å, b = 6.2068 Å, c = 5.4856 Å
α = 90.00°, β = 90.00°, γ = 120.00°
Space group P6_3/mcm (No. 193)
Inequivalent atoms, fractional coordinates:
Re (0.0000, 0.2430, 0.2500) (multiplicity 6)
Re (0.3333, 0.6667, 0.0000) (multiplicity 4)
C (0.0000, 0.4085, 0.7500) (multiplicity 6)

Principal peaks in the range 5° ≤ 2θ ≤ 70°, low angle first:
index  2θ (°)  Rel. int.
1 1 0  28.77  18
1 1 1  33.17  79
2 0 0  33.34  43
1 0 2  36.79  78
1 1 2  44.06  100
2 1 0  44.60  48
2 1 1  47.74  83
3 0 0  50.97  29
2 1 3  69.11  27
2 2 2  69.61  27